# 1
Structure and simulated X-ray diffraction stick pattern of Fe5Pt6W (a crystal structure in Alexandria, relaxed with GGA-PBE; Cu Kα, 1.54184 Å).
Peak positions follow from Bragg's law for the DFT cell and can differ from measured ones.

Unit cell a=6.1010 b=6.1010 c=7.6683 alpha=90.00 beta=90.00 gamma=143.15
Sites, in units of the cell vectors:
Fe1 0.0000 0.0000 0.0000
Fe2 0.3343 0.6657 0.5000
Fe3 0.3348 0.6652 0.0000
Fe4 0.6652 0.3348 0.0000
Fe5 0.6657 0.3343 0.5000
Pt1 0.1673 0.8327 0.2491
Pt2 0.1673 0.8327 0.7509
Pt3 0.5000 0.5000 0.2512
Pt4 0.5000 0.5000 0.7488
Pt5 0.8327 0.1673 0.2491
Pt6 0.8327 0.1673 0.7509
W1 0.0000 0.0000 0.5000

Top 10 peaks for 2θ from 10° to 80°, low angle first:
d (Å)  two_theta  Rel. int.
3.834  23.2  18
2.728  32.8  15
2.223  40.6  100
1.929  47.1  33
1.917  47.4  16
1.723  53.2  8
1.569  58.9  6
1.364  68.8  10
1.360  69.1  21
1.285  73.7  3

---

# 2
Structure and simulated X-ray diffraction stick pattern of ZnFe5Pt6 (a crystal structure in Alexandria, relaxed with GGA-PBE; Cu Kα, 1.54184 Å).
Peak positions follow from Bragg's law for the DFT cell and can differ from measured ones.

Unit cell a=4.6232 b=5.5428 c=7.2062 alpha=112.52 beta=92.65 gamma=90.06
Sites, in units of the cell vectors:
Zn1 0.0000 0.0000 0.0000
Fe1 0.0000 0.5000 0.0000
Fe2 0.3404 0.3310 0.6624
Fe3 0.3466 0.8278 0.6554
Fe4 0.6534 0.1722 0.3446
Fe5 0.6596 0.6690 0.3376
Pt1 0.1601 0.4168 0.3322
Pt2 0.1600 0.9152 0.3321
Pt3 0.5001 0.2516 0.0001
Pt4 0.4999 0.7484 0.9999
Pt5 0.8400 0.0848 0.6679
Pt6 0.8399 0.5832 0.6678

Top 10 peaks for 2θ from 10° to 80°, low angle first:
d (Å)  two_theta  Rel. int.
3.706  24.0  26
2.768  32.3  25
2.218  40.7  100
1.959  46.3  17
1.955  46.4  17
1.853  49.2  14
1.731  52.9  13
1.540  60.1  9
1.386  67.6  6
1.346  69.9  20